Starting from the GGA-PBE geometry in Alexandria, the X-ray powder pattern of MnTcS4 was simulated for λ = 1.5418 Å (Cu Kα).
Intensities are scaled so that the largest is 100.

Principal peaks in the range 2θ = 10–90°, low angle first:
d/Å  2θ/deg  I (rel.)
3.291  27.09  58
3.261  27.35  58
2.840  31.50  100
2.832  31.60  51
2.007  45.19  65
1.714  53.45  60

Crystal structure
```
12
Lattice="5.6639 0.0000 0.0000 0.0000 5.6780 0.0000 -0.0790 0.0000 5.6823" Properties=species:S:1:pos:R:3 pbc="T T T"
Mn 0.0000 0.0000 0.0000
Mn -0.0395 2.8390 2.8412
Tc 2.7925 0.0000 2.8412
Tc 2.8319 2.8390 0.0000
S 0.6406 0.7000 2.1565
S 0.6011 2.1389 4.9976
S 2.1318 3.5045 2.1602
S 2.0923 5.0124 5.0014
S 3.4926 0.6656 0.6810
S 3.4531 2.1734 3.5221
S 4.9838 3.5390 0.6847
S 4.9443 4.9779 3.5259
```

Starting from the GGA-PBE geometry in Alexandria, the X-ray powder pattern of MnTcS2 was simulated for λ = 1.5418 Å (Cu Kα).
Intensities are scaled so that the largest is 100.

Principal peaks in the range 2θ = 10–90°, low angle first:
d/Å  2θ/deg  I (rel.)
2.945  30.36  100
1.827  49.92  19
1.792  50.97  37
1.552  59.55  26
1.510  61.42  13
1.164  82.98  11

Crystal structure
```
16
Lattice="5.1672 0.0000 0.0000 0.0000 5.1672 0.0000 0.0000 0.0000 9.9466" Properties=species:S:1:pos:R:3 pbc="T T T"
Mn 0.0000 0.0000 0.0000
Mn 0.0000 2.5836 2.4867
Mn 2.5836 0.0000 7.4600
Mn 2.5836 2.5836 4.9733
Tc 0.0000 0.0000 4.9733
Tc 0.0000 2.5836 7.4600
Tc 2.5836 0.0000 2.4867
Tc 2.5836 2.5836 0.0000
S 1.1798 1.2918 1.2433
S 1.2918 3.7634 3.7300
S 1.2918 3.9875 8.7033
S 1.4038 1.2918 6.2166
S 3.7634 3.8754 6.2166
S 3.8754 1.1798 8.7033
S 3.8754 1.4038 3.7300
S 3.9875 3.8754 1.2433
```

Starting from the GGA-PBE geometry in Alexandria, the X-ray powder pattern of Mn2Tl2Te2S was simulated for λ = 1.5418 Å (Cu Kα).
Intensities are scaled so that the largest is 100.

Principal peaks in the range 2θ = 10–90°, low angle first:
d/Å  2θ/deg  I (rel.)
3.354  26.58  73
3.134  28.48  33
2.828  31.64  100
2.668  33.59  38
2.372  37.94  56
1.817  50.21  55

Crystal structure
```
14
Lattice="4.7431 0.0000 0.0000 0.0000 4.7431 0.0000 0.0000 0.0000 17.6091" Properties=species:S:1:pos:R:3 pbc="T T T"
Mn 0.0000 2.3716 0.0000
Mn 0.0000 2.3716 8.8045
Mn 2.3716 0.0000 0.0000
Mn 2.3716 0.0000 8.8045
Tl 0.0000 0.0000 3.1701
Tl 0.0000 0.0000 14.4390
Tl 2.3716 2.3716 5.6344
Tl 2.3716 2.3716 11.9747
Te 0.0000 0.0000 6.8276
Te 0.0000 0.0000 10.7814
Te 2.3716 2.3716 1.9769
Te 2.3716 2.3716 15.6322
S 0.0000 0.0000 0.0000
S 2.3716 2.3716 8.8045
```

Starting from the GGA-PBE geometry in Alexandria, the X-ray powder pattern of ThMnS4 was simulated for λ = 1.5418 Å (Cu Kα).
Intensities are scaled so that the largest is 100.

Principal peaks in the range 2θ = 10–90°, low angle first:
d/Å  2θ/deg  I (rel.)
6.377  13.89  39
3.528  25.24  100
2.547  35.23  23
2.396  37.54  28
2.076  43.60  32
1.900  47.88  27

Crystal structure
```
12
Lattice="5.2150 0.0000 0.0000 0.0000 6.3772 0.0000 0.0000 0.0000 7.2609" Properties=species:S:1:pos:R:3 pbc="T T T"
Th 0.0000 0.0000 0.0000
Th 2.6075 0.0000 3.6305
Mn 0.0000 3.1886 3.6305
Mn 2.6075 3.1886 0.0000
S 0.0000 1.1305 2.6094
S 0.0000 5.2467 4.6515
S 1.3037 2.0461 5.4457
S 1.3037 4.3311 1.8152
S 2.6075 1.1305 1.0211
S 2.6075 5.2467 6.2399
S 3.9112 2.0461 5.4457
S 3.9112 4.3311 1.8152
```

Starting from the GGA-PBE geometry in Alexandria, the X-ray powder pattern of Ti2MnS3 was simulated for λ = 1.5418 Å (Cu Kα).
Intensities are scaled so that the largest is 100.

Principal peaks in the range 2θ = 10–90°, low angle first:
d/Å  2θ/deg  I (rel.)
2.918  30.63  33
2.643  33.92  36
2.130  42.44  100
1.685  54.46  34
1.321  71.38  19
1.144  84.74  18

Crystal structure
```
12
Lattice="2.9184 1.6849 6.2322 -2.9184 1.6849 6.2322 0.0000 -3.3699 6.2322" Properties=species:S:1:pos:R:3 pbc="T T T"
Ti 0.0000 0.0000 3.1140
Ti 0.0000 0.0000 6.2342
Ti 0.0000 0.0000 12.4623
Ti 0.0000 0.0000 15.5825
Mn 0.0000 0.0000 0.0000
Mn 0.0000 0.0000 9.3482
S -1.9505 -0.0085 7.7902
S -0.9679 -1.6934 10.9063
S 0.9826 -1.6849 7.7902
S -0.9826 1.6849 10.9063
S 0.9679 1.6934 7.7902
S 1.9505 0.0085 10.9063
```

Starting from the GGA-PBE geometry in Alexandria, the X-ray powder pattern of TiMn2S3 was simulated for λ = 1.5418 Å (Cu Kα).
Intensities are scaled so that the largest is 100.

Principal peaks in the range 2θ = 10–90°, low angle first:
d/Å  2θ/deg  I (rel.)
3.159  28.25  100
1.941  46.80  20
1.931  47.06  40
1.654  55.57  24
1.642  56.02  12
1.119  87.11  11

Crystal structure
```
24
Lattice="0.0000 11.6443 5.4345 3.8829 0.0000 5.4345 3.8829 11.6443 0.0000" Properties=species:S:1:pos:R:3 pbc="T T T"
Ti 3.9845 7.9216 5.4345
Ti 5.7228 13.7437 8.1517
Ti 3.7814 15.3671 5.4345
Ti 5.9260 21.1892 8.1517
Mn 3.8829 11.6443 0.0949
Mn 2.0002 1.8803 2.6978
Mn 3.9417 3.9418 5.4150
Mn 1.9415 5.8222 2.8122
Mn 1.8828 9.7640 2.6978
Mn 3.8829 11.6443 5.4988
Mn 5.8244 17.4665 8.2161
Mn 3.8242 19.3468 5.4150
S 1.9425 3.8846 1.4292
S 3.8909 5.9471 4.1488
S 1.9404 7.7597 1.4292
S 3.9077 9.7902 3.9872
S 5.8165 11.7692 6.8660
S 3.8582 13.4985 3.9872
S 5.7997 15.6123 6.7045
S 3.8750 17.3416 4.1488
S 5.8492 19.3206 6.7045
S 3.8819 9.7067 9.5809
S 1.9494 11.5194 6.8660
S 3.8840 13.5819 9.5809
```

Starting from the GGA-PBE geometry in Alexandria, the X-ray powder pattern of Ti5MnS10 was simulated for λ = 1.5418 Å (Cu Kα).
Intensities are scaled so that the largest is 100.

Principal peaks in the range 2θ = 10–90°, low angle first:
d/Å  2θ/deg  I (rel.)
6.178  14.34  67
2.673  33.52  100
2.139  42.25  96
1.712  53.53  42
1.691  54.23  25
1.337  70.45  18

Crystal structure
```
16
Lattice="3.4237 0.0000 0.0000 -1.7118 2.9650 0.0000 0.0000 0.0000 30.8903" Properties=species:S:1:pos:R:3 pbc="T T T"
Ti 0.0000 0.0000 0.0000
Ti 0.0000 0.0000 6.1984
Ti 0.0000 0.0000 12.4225
Ti 0.0000 0.0000 18.4678
Ti 0.0000 0.0000 24.6919
Mn 0.0000 0.0000 15.4451
S 0.0000 1.9767 4.7833
S 0.0000 1.9767 11.0449
S 0.0000 1.9767 16.9158
S 0.0000 1.9767 23.2708
S 0.0000 1.9767 29.4726
S 1.7118 0.9883 1.4176
S 1.7118 0.9883 7.6195
S 1.7118 0.9883 13.9745
S 1.7118 0.9883 19.8454
S 1.7118 0.9883 26.1070
```

Starting from the GGA-PBE geometry in Alexandria, the X-ray powder pattern of Ti3Mn3S8 was simulated for λ = 1.5418 Å (Cu Kα).
Intensities are scaled so that the largest is 100.

Principal peaks in the range 2θ = 10–90°, low angle first:
d/Å  2θ/deg  I (rel.)
3.130  28.51  42
3.072  29.07  96
3.043  29.35  34
2.553  35.16  100
1.829  49.87  89
1.782  51.26  82

Crystal structure
```
14
Lattice="3.5646 2.0580 6.0530 -3.5646 2.0580 6.0530 0.0000 -4.1160 6.0530" Properties=species:S:1:pos:R:3 pbc="T T T"
Ti -1.7823 -1.0290 6.0530
Ti -1.7823 1.0290 12.1060
Ti 0.0000 2.0580 6.0530
Mn 0.0000 0.0000 2.3011
Mn 0.0000 0.0000 9.0795
Mn 0.0000 0.0000 15.8580
S 0.0000 -1.9406 7.4869
S -1.6806 0.9703 7.4869
S 0.0000 0.0000 4.6544
S -1.6806 -0.9703 10.6722
S 1.6806 0.9703 7.4869
S 0.0000 0.0000 13.5046
S 1.6806 -0.9703 10.6722
S 0.0000 1.9406 10.6722
```

Starting from the GGA-PBE geometry in Alexandria, the X-ray powder pattern of UMn2Tl2S6 was simulated for λ = 1.5418 Å (Cu Kα).
Intensities are scaled so that the largest is 100.

Principal peaks in the range 2θ = 10–90°, low angle first:
d/Å  2θ/deg  I (rel.)
5.033  17.62  72
4.240  20.95  56
3.985  22.31  70
2.913  30.69  51
2.648  33.85  100
2.577  34.81  49

Crystal structure
```
11
Lattice="2.9576 -5.0066 0.0000 2.9576 5.0066 0.0000 -1.4286 0.0000 7.9708" Properties=species:S:1:pos:R:3 pbc="T T T"
U 0.0000 0.0000 0.0000
Mn 2.9576 1.4274 0.0000
Mn 2.9576 -1.4274 0.0000
Tl 2.2433 3.3695 3.9854
Tl 2.2433 -3.3695 3.9854
S 1.1196 1.8660 1.3499
S 0.7211 0.0000 6.4341
S 1.1196 -1.8660 1.3499
S 3.3671 1.8660 6.6209
S 3.7656 0.0000 1.5367
S 3.3671 -1.8660 6.6209
```

Starting from the GGA-PBE geometry in Alexandria, the X-ray powder pattern of MnTlV4S8 was simulated for λ = 1.5418 Å (Cu Kα).
Intensities are scaled so that the largest is 100.

Principal peaks in the range 2θ = 10–90°, low angle first:
d/Å  2θ/deg  I (rel.)
4.257  20.87  90
4.097  21.69  61
2.680  33.44  48
2.594  34.58  100
2.116  42.73  82
1.685  54.46  49

Crystal structure
```
14
Lattice="8.8181 -1.6513 0.0000 8.8181 1.6513 0.0000 -2.1877 0.0000 8.1933" Properties=species:S:1:pos:R:3 pbc="T T T"
Mn 0.0000 0.0000 0.0000
Tl 7.7243 0.0000 4.0967
V 3.6937 0.0000 5.2563
V 6.1474 0.0000 0.0114
V 9.3011 0.0000 8.1819
V 11.7549 0.0000 2.9371
S -0.3381 0.0000 6.7557
S 1.7404 0.0000 4.0812
S 3.9216 0.0000 1.3382
S 5.7184 0.0000 6.7581
S 9.7302 0.0000 1.4353
S 11.5269 0.0000 6.8551
S 13.7081 0.0000 4.1121
S 15.7866 0.0000 1.4376
```

Starting from the GGA-PBE geometry in Alexandria, the X-ray powder pattern of TmMnS3 was simulated for λ = 1.5418 Å (Cu Kα).
Intensities are scaled so that the largest is 100.

Principal peaks in the range 2θ = 10–90°, low angle first:
d/Å  2θ/deg  I (rel.)
3.431  25.97  100
3.234  27.58  90
2.823  31.70  72
2.353  38.25  48
2.157  41.89  92
1.867  48.78  55

Crystal structure
```
10
Lattice="3.2337 1.8670 5.7881 -3.2337 1.8670 5.7881 0.0000 -3.7340 5.7881" Properties=species:S:1:pos:R:3 pbc="T T T"
Tm 0.0000 0.0000 2.5488
Tm 0.0000 0.0000 14.8154
Mn 0.0000 0.0000 5.9405
Mn 0.0000 0.0000 11.4237
S -1.2687 -1.7079 7.1482
S -2.1135 0.2448 10.2160
S -0.8447 1.9527 7.1482
S 0.8448 -1.9527 10.2160
S 2.1135 -0.2448 7.1482
S 1.2687 1.7079 10.2160
```

Starting from the GGA-PBE geometry in Alexandria, the X-ray powder pattern of U2MnS was simulated for λ = 1.5418 Å (Cu Kα).
Intensities are scaled so that the largest is 100.

Principal peaks in the range 2θ = 10–90°, low angle first:
d/Å  2θ/deg  I (rel.)
3.353  26.58  25
3.000  29.78  61
2.665  33.63  100
1.964  46.23  39
1.815  50.28  33
1.596  57.77  20

Crystal structure
```
12
Lattice="3.6291 0.0000 0.0000 -1.8145 3.1429 0.0000 0.0000 0.0000 20.1180" Properties=species:S:1:pos:R:3 pbc="T T T"
U 0.0000 0.0000 4.9046
U 0.0000 0.0000 15.2134
U 0.0000 2.0953 8.5074
U 0.0000 2.0953 18.3166
U 1.8145 1.0476 1.8014
U 1.8145 1.0476 11.6106
Mn 0.0000 0.0000 10.0590
Mn 0.0000 2.0953 3.3530
Mn 1.8145 1.0476 16.7650
S 0.0000 0.0000 0.0000
S 0.0000 2.0953 13.4120
S 1.8145 1.0476 6.7060
```

> Which formula does entry 12 have?

U2MnS

> Which formula does entry 11 have?

TmMnS3